(1)
Diffraction record for SnC4O4. The powder X-ray diffraction pattern is simulated, not measured: it uses a cell relaxed with PBE and Cu Kα, 1.54184 Å.
Neutral-atom scattering factors, no anomalous dispersion.

Peak list (10 most intense, 10 to 80 degrees two-theta, by intensity)
| 2θ/deg | I_rel |
| --- | --- |
| 26.2 | 100 |
| 17.1 | 27 |
| 21.3 | 27 |
| 20.7 | 26 |
| 42.8 | 24 |
| 25.8 | 24 |
| 32.5 | 23 |
| 45.8 | 22 |
| 39.9 | 21 |
| 27.1 | 20 |

abc: 12.4934 12.4934 12.4934
angles: 116.49 68.26 157.56
Sites, in units of the cell vectors:
Sn (0.0850, 0.1383, 0.2233)
Sn (0.4150, 0.6383, 0.0533)
Sn (0.5850, 0.3617, 0.9467)
Sn (0.9150, 0.8617, 0.7767)
C (0.1072, 0.7954, 0.0722)
C (0.1488, 0.7639, 0.7759)
C (0.2231, 0.2954, 0.6882)
C (0.3126, 0.9976, 0.5444)
C (0.3434, 0.0110, 0.1484)
C (0.3626, 0.5110, 0.6675)
C (0.4532, 0.7682, 0.4556)
C (0.4879, 0.2639, 0.6151)
C (0.6072, 0.5350, 0.3118)
C (0.6488, 0.8728, 0.3849)
C (0.7231, 0.0350, 0.9278)
C (0.8126, 0.2682, 0.3149)
C (0.8434, 0.6950, 0.3325)
C (0.8626, 0.1950, 0.8516)
C (0.9532, 0.4976, 0.6851)
C (0.9879, 0.3728, 0.2241)
O (0.0098, 0.0268, 0.6592)
O (0.1953, 0.5824, 0.1781)
O (0.2506, 0.0226, 0.0763)
O (0.3385, 0.1449, 0.7060)
O (0.3677, 0.3506, 0.3408)
O (0.4043, 0.0172, 0.8219)
O (0.4388, 0.6324, 0.2940)
O (0.4463, 0.5226, 0.7720)
O (0.5098, 0.8506, 0.9829)
O (0.6953, 0.5172, 0.6130)
O (0.7506, 0.6743, 0.2280)
O (0.8385, 0.1324, 0.1936)
O (0.8677, 0.5268, 0.0171)
O (0.9043, 0.0824, 0.3870)
O (0.9388, 0.6449, 0.8064)
O (0.9463, 0.1743, 0.9237)

---

(2)
Diffraction record for BeGaH5. The powder X-ray diffraction pattern is simulated, not measured: it uses a cell relaxed with PBE and Cu Kα, 1.54184 Å.
Neutral-atom scattering factors, no anomalous dispersion.

Peak list (10 most intense, 10 to 80 degrees two-theta, by intensity)
| 2θ/deg | I_rel |
| --- | --- |
| 18.5 | 100 |
| 15.4 | 73 |
| 23.3 | 55 |
| 24.7 | 53 |
| 25.4 | 53 |
| 22.8 | 49 |
| 29.4 | 44 |
| 39.6 | 39 |
| 25.7 | 36 |
| 26.4 | 25 |

abc: 8.5320 6.2134 16.8097
angles: 90.00 116.69 90.00
Sites, in units of the cell vectors:
Be (0.0464, 0.0920, 0.4665)
Be (0.0464, 0.4080, 0.9665)
Be (0.2623, 0.1357, 0.9696)
Be (0.2623, 0.3643, 0.4696)
Be (0.7377, 0.6357, 0.5304)
Be (0.7377, 0.8643, 0.0304)
Be (0.9536, 0.5920, 0.0335)
Be (0.9536, 0.9080, 0.5335)
Ga (0.0576, 0.6480, 0.6803)
Ga (0.0576, 0.8520, 0.1803)
Ga (0.4810, 0.0941, 0.8816)
Ga (0.4810, 0.4059, 0.3816)
Ga (0.5190, 0.5941, 0.6184)
Ga (0.5190, 0.9059, 0.1184)
Ga (0.9424, 0.1480, 0.8197)
Ga (0.9424, 0.3520, 0.3197)
H (0.0105, 0.7224, 0.7550)
H (0.0105, 0.7776, 0.2550)
H (0.0509, 0.6411, 0.9824)
H (0.0509, 0.8589, 0.4824)
H (0.0628, 0.6214, 0.1279)
H (0.0628, 0.8786, 0.6279)
H (0.1217, 0.0234, 0.8976)
H (0.1217, 0.4766, 0.3976)
H (0.2114, 0.5063, 0.6874)
H (0.2114, 0.9937, 0.1874)
H (0.2213, 0.1773, 0.5071)
H (0.2213, 0.3227, 0.0071)
H (0.3196, 0.5394, 0.5336)
H (0.3196, 0.9606, 0.0336)
H (0.3855, 0.6193, 0.3406)
H (0.3855, 0.8807, 0.8406)
H (0.3969, 0.2084, 0.9461)
H (0.3969, 0.2916, 0.4461)
H (0.4871, 0.7083, 0.1647)
H (0.4871, 0.7917, 0.6647)
H (0.5129, 0.2083, 0.3353)
H (0.5129, 0.2917, 0.8353)
H (0.6031, 0.7084, 0.5539)
H (0.6031, 0.7916, 0.0539)
H (0.6145, 0.1193, 0.1594)
H (0.6145, 0.3807, 0.6594)
H (0.6804, 0.0394, 0.9664)
H (0.6804, 0.4606, 0.4664)
H (0.7787, 0.6773, 0.9929)
H (0.7787, 0.8227, 0.4929)
H (0.7886, 0.0063, 0.8126)
H (0.7886, 0.4937, 0.3126)
H (0.8783, 0.5234, 0.6024)
H (0.8783, 0.9766, 0.1024)
H (0.9372, 0.1214, 0.3721)
H (0.9372, 0.3786, 0.8721)
H (0.9491, 0.1411, 0.5176)
H (0.9491, 0.3589, 0.0176)
H (0.9895, 0.2224, 0.7450)
H (0.9895, 0.2776, 0.2450)

---

(3)
Diffraction record for GdPd. The powder X-ray diffraction pattern is simulated, not measured: it uses a cell relaxed with PBE and Cu Kα, 1.54184 Å.
Neutral-atom scattering factors, no anomalous dispersion.

Peak list (10 most intense, 10 to 80 degrees two-theta, by intensity)
| 2θ/deg | I_rel |
| --- | --- |
| 31.8 | 100 |
| 39.9 | 64 |
| 39.3 | 32 |
| 33.4 | 32 |
| 34.5 | 21 |
| 79.3 | 20 |
| 48.1 | 18 |
| 38.9 | 18 |
| 52.5 | 18 |
| 63.8 | 15 |

abc: 3.7798 10.7354 4.5878
angles: 90.00 90.00 90.00
Sites, in units of the cell vectors:
Gd (0.0000, 0.1372, 0.2500)
Gd (0.0000, 0.8628, 0.7500)
Gd (0.5000, 0.3628, 0.7500)
Gd (0.5000, 0.6372, 0.2500)
Pd (0.0000, 0.4135, 0.2500)
Pd (0.0000, 0.5865, 0.7500)
Pd (0.5000, 0.0865, 0.7500)
Pd (0.5000, 0.9135, 0.2500)

---

(4)
Diffraction record for CaCu4O6. The powder X-ray diffraction pattern is simulated, not measured: it uses a cell relaxed with PBE and Cu Kα, 1.54184 Å.
Neutral-atom scattering factors, no anomalous dispersion.

Peak list (10 most intense, 10 to 80 degrees two-theta, by intensity)
| 2θ/deg | I_rel |
| --- | --- |
| 35.4 | 100 |
| 41.8 | 59 |
| 12.0 | 44 |
| 44.1 | 40 |
| 40.4 | 36 |
| 32.6 | 28 |
| 36.3 | 23 |
| 61.0 | 21 |
| 59.6 | 20 |
| 59.0 | 20 |

abc: 5.1860 5.1860 14.7433
angles: 90.00 90.00 145.19
Sites, in units of the cell vectors:
Ca (0.1606, 0.8394, 0.7500)
Ca (0.8394, 0.1606, 0.2500)
Cu (0.0900, 0.9100, 0.1316)
Cu (0.0900, 0.9100, 0.3684)
Cu (0.3618, 0.6382, 0.0408)
Cu (0.3618, 0.6382, 0.4592)
Cu (0.6382, 0.3618, 0.5408)
Cu (0.6382, 0.3618, 0.9592)
Cu (0.9100, 0.0900, 0.6316)
Cu (0.9100, 0.0900, 0.8684)
O (0.0000, 0.0000, 0.0000)
O (0.0000, 0.0000, 0.5000)
O (0.1728, 0.8272, 0.2500)
O (0.2819, 0.7181, 0.5784)
O (0.2819, 0.7181, 0.9216)
O (0.4558, 0.5442, 0.1509)
O (0.4558, 0.5442, 0.3491)
O (0.5442, 0.4558, 0.6509)
O (0.5442, 0.4558, 0.8491)
O (0.7181, 0.2819, 0.0784)
O (0.7181, 0.2819, 0.4216)
O (0.8272, 0.1728, 0.7500)

---

(5)
Diffraction record for NaPmAu2. The powder X-ray diffraction pattern is simulated, not measured: it uses a cell relaxed with PBE and Cu Kα, 1.54184 Å.
Neutral-atom scattering factors, no anomalous dispersion.

Peak list (10 most intense, 10 to 80 degrees two-theta, by intensity)
| 2θ/deg | I_rel |
| --- | --- |
| 35.3 | 100 |
| 63.3 | 37 |
| 24.7 | 19 |
| 50.8 | 18 |
| 74.6 | 12 |
| 21.4 | 11 |
| 57.3 | 8 |
| 43.6 | 6 |
| 41.6 | 6 |
| 55.7 | 3 |

abc: 7.1952 7.1952 7.1952
angles: 90.00 90.00 90.00
Sites, in units of the cell vectors:
Na (0.0000, 0.0000, 0.0000)
Na (0.0000, 0.5000, 0.5000)
Na (0.5000, 0.0000, 0.5000)
Na (0.5000, 0.5000, 0.0000)
Pm (0.0000, 0.0000, 0.5000)
Pm (0.0000, 0.5000, 0.0000)
Pm (0.5000, 0.0000, 0.0000)
Pm (0.5000, 0.5000, 0.5000)
Au (0.2500, 0.2500, 0.2500)
Au (0.2500, 0.2500, 0.7500)
Au (0.2500, 0.7500, 0.2500)
Au (0.2500, 0.7500, 0.7500)
Au (0.7500, 0.2500, 0.2500)
Au (0.7500, 0.2500, 0.7500)
Au (0.7500, 0.7500, 0.2500)
Au (0.7500, 0.7500, 0.7500)

---

(6)
Diffraction record for PbSe2. The powder X-ray diffraction pattern is simulated, not measured: it uses a cell relaxed with PBE and Cu Kα, 1.54184 Å.
Neutral-atom scattering factors, no anomalous dispersion.

Peak list (10 most intense, 10 to 80 degrees two-theta, by intensity)
| 2θ/deg | I_rel |
| --- | --- |
| 29.8 | 100 |
| 44.0 | 38 |
| 35.8 | 38 |
| 19.3 | 30 |
| 27.4 | 29 |
| 32.8 | 27 |
| 65.5 | 23 |
| 61.7 | 22 |
| 45.6 | 17 |
| 39.2 | 13 |

abc: 6.5053 6.5053 7.8983
angles: 90.00 90.00 90.00
Sites, in units of the cell vectors:
Pb (0.0000, 0.0000, 0.2500)
Pb (0.0000, 0.0000, 0.7500)
Pb (0.5000, 0.5000, 0.2500)
Pb (0.5000, 0.5000, 0.7500)
Se (0.1309, 0.3691, 0.0000)
Se (0.1309, 0.6309, 0.5000)
Se (0.3691, 0.1309, 0.5000)
Se (0.3691, 0.8691, 0.0000)
Se (0.6309, 0.1309, 0.0000)
Se (0.6309, 0.8691, 0.5000)
Se (0.8691, 0.3691, 0.5000)
Se (0.8691, 0.6309, 0.0000)

---

(7)
Diffraction record for CuBi2Se2O. The powder X-ray diffraction pattern is simulated, not measured: it uses a cell relaxed with PBE and Cu Kα, 1.54184 Å.
Neutral-atom scattering factors, no anomalous dispersion.

Peak list (10 most intense, 10 to 80 degrees two-theta, by intensity)
| 2θ/deg | I_rel |
| --- | --- |
| 28.4 | 100 |
| 36.7 | 48 |
| 40.5 | 40 |
| 22.9 | 40 |
| 47.1 | 25 |
| 55.6 | 21 |
| 17.1 | 21 |
| 66.4 | 18 |
| 33.3 | 18 |
| 71.3 | 15 |

abc: 3.1469 3.1469 15.5519
angles: 90.00 90.00 90.00
Sites, in units of the cell vectors:
Cu (0.0000, 0.0000, 0.0000)
Bi (0.0000, 0.0000, 0.3663)
Bi (0.0000, 0.0000, 0.6337)
Se (0.0000, 0.0000, 0.1459)
Se (0.0000, 0.0000, 0.8541)
O (0.0000, 0.0000, 0.5000)

---

(8)
Diffraction record for YZrCo6. The powder X-ray diffraction pattern is simulated, not measured: it uses a cell relaxed with PBE and Cu Kα, 1.54184 Å.
Neutral-atom scattering factors, no anomalous dispersion.

Peak list (10 most intense, 10 to 80 degrees two-theta, by intensity)
| 2θ/deg | I_rel |
| --- | --- |
| 43.5 | 100 |
| 37.1 | 38 |
| 43.2 | 36 |
| 36.6 | 33 |
| 33.5 | 31 |
| 47.2 | 25 |
| 78.9 | 22 |
| 71.3 | 21 |
| 44.9 | 19 |
| 46.5 | 16 |

abc: 16.4002 16.4002 16.4002
angles: 17.01 17.01 17.01
Sites, in units of the cell vectors:
Y (0.0000, 0.0000, 0.0000)
Y (0.1396, 0.1396, 0.1396)
Y (0.5006, 0.5006, 0.5006)
Zr (0.0699, 0.0699, 0.0699)
Zr (0.5704, 0.5704, 0.5704)
Zr (0.6383, 0.6383, 0.6383)
Co (0.0291, 0.5299, 0.5299)
Co (0.0300, 0.0300, 0.5322)
Co (0.0300, 0.5322, 0.0300)
Co (0.1085, 0.6104, 0.6104)
Co (0.1113, 0.1113, 0.6098)
Co (0.1113, 0.6098, 0.1113)
Co (0.2372, 0.2372, 0.2372)
Co (0.3199, 0.3199, 0.3199)
Co (0.4031, 0.4031, 0.4031)
Co (0.5299, 0.0291, 0.5299)
Co (0.5299, 0.5299, 0.0291)
Co (0.5322, 0.0300, 0.0300)
Co (0.6104, 0.1085, 0.6104)
Co (0.6098, 0.1113, 0.1113)
Co (0.6104, 0.6104, 0.1085)
Co (0.7363, 0.7363, 0.7363)
Co (0.8201, 0.8201, 0.8201)
Co (0.9042, 0.9042, 0.9042)

---

(9)
Diffraction record for NbCr3Ag2S8. The powder X-ray diffraction pattern is simulated, not measured: it uses a cell relaxed with PBE and Cu Kα, 1.54184 Å.
Neutral-atom scattering factors, no anomalous dispersion.

Peak list (10 most intense, 10 to 80 degrees two-theta, by intensity)
| 2θ/deg | I_rel |
| --- | --- |
| 21.8 | 100 |
| 27.5 | 51 |
| 28.7 | 35 |
| 48.2 | 35 |
| 29.0 | 32 |
| 29.1 | 32 |
| 42.1 | 31 |
| 33.3 | 29 |
| 47.8 | 28 |
| 33.6 | 27 |

abc: 6.5052 7.6166 12.3878
angles: 97.99 94.15 90.33
Sites, in units of the cell vectors:
Nb (0.0000, 0.0000, 0.0000)
Nb (0.2171, 0.8457, 0.3936)
Cr (0.1015, 0.1868, 0.6960)
Cr (0.2350, 0.3503, 0.4019)
Cr (0.4894, 0.2473, 0.9887)
Cr (0.4945, 0.7382, 0.9887)
Cr (0.6058, 0.4089, 0.6954)
Cr (0.7013, 0.5882, 0.4038)
Ag (0.1063, 0.6640, 0.6965)
Ag (0.6033, 0.9169, 0.6968)
Ag (0.7158, 0.0977, 0.4009)
Ag (0.9721, 0.4936, 0.9926)
S (0.0300, 0.5731, 0.3391)
S (0.0699, 0.0847, 0.3229)
S (0.1817, 0.2558, 0.0708)
S (0.1819, 0.7678, 0.0652)
S (0.2290, 0.9083, 0.5807)
S (0.2732, 0.3710, 0.5863)
S (0.4352, 0.2179, 0.8036)
S (0.4754, 0.6759, 0.8080)
S (0.5325, 0.3477, 0.3233)
S (0.5416, 0.8091, 0.3244)
S (0.6240, 0.5110, 0.0641)
S (0.6581, 0.0091, 0.0569)
S (0.7368, 0.6162, 0.5818)
S (0.7695, 0.1603, 0.6032)
S (0.9364, 0.4263, 0.7900)
S (0.9838, 0.9702, 0.8140)

---

(10)
Diffraction record for PrSmFe4. The powder X-ray diffraction pattern is simulated, not measured: it uses a cell relaxed with PBE and Cu Kα, 1.54184 Å.
Neutral-atom scattering factors, no anomalous dispersion.

Peak list (10 most intense, 10 to 80 degrees two-theta, by intensity)
| 2θ/deg | I_rel |
| --- | --- |
| 40.1 | 100 |
| 34.0 | 64 |
| 64.9 | 31 |
| 60.8 | 24 |
| 71.5 | 22 |
| 41.9 | 15 |
| 20.6 | 13 |
| 53.5 | 4 |
| 75.3 | 3 |
| 48.8 | 1 |

abc: 5.2769 5.2769 5.2769
angles: 60.00 60.00 60.00
Sites, in units of the cell vectors:
Pr (0.0000, 0.0000, 0.0000)
Sm (0.2500, 0.2500, 0.2500)
Fe (0.1248, 0.6251, 0.6251)
Fe (0.6251, 0.1248, 0.6251)
Fe (0.6251, 0.6251, 0.1248)
Fe (0.6251, 0.6251, 0.6251)

---

(11)
Diffraction record for CaSeO3. The powder X-ray diffraction pattern is simulated, not measured: it uses a cell relaxed with PBE and Cu Kα, 1.54184 Å.
Neutral-atom scattering factors, no anomalous dispersion.

Peak list (10 most intense, 10 to 80 degrees two-theta, by intensity)
| 2θ/deg | I_rel |
| --- | --- |
| 29.6 | 100 |
| 28.1 | 76 |
| 30.0 | 62 |
| 36.8 | 38 |
| 30.4 | 37 |
| 48.7 | 33 |
| 21.4 | 32 |
| 45.8 | 27 |
| 61.5 | 21 |
| 25.1 | 20 |

abc: 6.5334 6.8597 8.2782
angles: 90.00 126.96 90.00
Sites, in units of the cell vectors:
Ca (0.1495, 0.1259, 0.3765)
Ca (0.1495, 0.3741, 0.8765)
Ca (0.8505, 0.6259, 0.1235)
Ca (0.8505, 0.8741, 0.6235)
Se (0.3522, 0.6615, 0.5953)
Se (0.3522, 0.8385, 0.0953)
Se (0.6478, 0.1615, 0.9047)
Se (0.6478, 0.3385, 0.4047)
O (0.0848, 0.6859, 0.9808)
O (0.0848, 0.8141, 0.4808)
O (0.2087, 0.0295, 0.9269)
O (0.2087, 0.4705, 0.4269)
O (0.3999, 0.5811, 0.8136)
O (0.3999, 0.9189, 0.3136)
O (0.6001, 0.0811, 0.6864)
O (0.6001, 0.4189, 0.1864)
O (0.7913, 0.5295, 0.5731)
O (0.7913, 0.9705, 0.0731)
O (0.9152, 0.1859, 0.5192)
O (0.9152, 0.3141, 0.0192)